For Pm3Tm6Tl, a GGA-PBE-relaxed structure gives the theoretical powder diffractogram in this record (Cu Kα).
No peak broadening, texture or thermal motion is included.

Crystal structure
a b c (Å): 12.763 3.485 14.145
angles (deg): 90.00 100.69 90.00
Element x y z (fractional)
Pm (0.075, 0.250, 0.101)
Pm (0.368, 0.750, 0.494)
Pm (0.423, 0.250, 0.903)
Pm (0.577, 0.750, 0.097)
Pm (0.632, 0.250, 0.506)
Pm (0.925, 0.750, 0.899)
Tm (0.113, 0.250, 0.466)
Tm (0.191, 0.750, 0.922)
Tm (0.223, 0.750, 0.285)
Tm (0.249, 0.750, 0.690)
Tm (0.342, 0.250, 0.119)
Tm (0.490, 0.250, 0.690)
Tm (0.510, 0.750, 0.310)
Tm (0.658, 0.750, 0.881)
Tm (0.751, 0.250, 0.310)
Tm (0.777, 0.250, 0.715)
Tm (0.809, 0.250, 0.078)
Tm (0.887, 0.750, 0.534)
Tl (0.036, 0.250, 0.718)
Tl (0.964, 0.750, 0.282)

Largest 10 diffraction maxima, sorted by position, 10 to 90 degrees two-theta:
d 2.921, intensity 49; d 2.854, intensity 74; d 2.783, intensity 100; d 2.677, intensity 77; d 2.401, intensity 31; d 1.823, intensity 19; d 1.743, intensity 17; d 1.500, intensity 15; d 1.487, intensity 21; d 1.477, intensity 14


For Sb6O13, a GGA-PBE-relaxed structure gives the theoretical powder diffractogram in this record (Cu Kα).
No peak broadening, texture or thermal motion is included.

Crystal structure
a b c (Å): 7.397 7.417 10.333
angles (deg): 90.00 90.99 90.00
Element x y z (fractional)
Sb (0.000, 0.000, 0.000)
Sb (0.000, 0.000, 0.500)
Sb (0.000, 0.500, 0.000)
Sb (0.000, 0.500, 0.500)
Sb (0.234, 0.250, 0.272)
Sb (0.247, 0.250, 0.747)
Sb (0.261, 0.750, 0.254)
Sb (0.500, 0.000, 0.000)
Sb (0.500, 0.500, 0.000)
Sb (0.739, 0.250, 0.746)
Sb (0.753, 0.750, 0.253)
Sb (0.766, 0.750, 0.728)
O (0.009, 0.750, 0.165)
O (0.021, 0.250, 0.419)
O (0.047, 0.250, 0.130)
O (0.187, 0.051, 0.629)
O (0.187, 0.449, 0.629)
O (0.194, 0.546, 0.369)
O (0.194, 0.954, 0.369)
O (0.285, 0.057, 0.885)
O (0.285, 0.443, 0.885)
O (0.300, 0.549, 0.126)
O (0.300, 0.951, 0.126)
O (0.493, 0.250, 0.682)
O (0.497, 0.750, 0.929)
O (0.503, 0.250, 0.071)
O (0.507, 0.750, 0.318)
O (0.700, 0.049, 0.874)
O (0.700, 0.451, 0.874)
O (0.715, 0.557, 0.115)
O (0.715, 0.943, 0.115)
O (0.806, 0.046, 0.631)
O (0.806, 0.454, 0.631)
O (0.813, 0.551, 0.371)
O (0.813, 0.949, 0.371)
O (0.953, 0.750, 0.870)
O (0.979, 0.750, 0.581)
O (0.991, 0.250, 0.835)

Largest 10 diffraction maxima, sorted by position, 10 to 90 degrees two-theta:
d 6.026, intensity 26; d 5.965, intensity 41; d 3.164, intensity 20; d 3.032, intensity 50; d 3.013, intensity 100; d 2.982, intensity 48; d 2.619, intensity 41; d 1.850, intensity 45; d 1.828, intensity 30; d 1.582, intensity 27


For K2TiAuS, a GGA-PBE-relaxed structure gives the theoretical powder diffractogram in this record (Cu Kα).
No peak broadening, texture or thermal motion is included.

Crystal structure
a b c (Å): 5.909 5.909 5.196
angles (deg): 90.00 90.00 90.00
Element x y z (fractional)
K (0.000, 0.500, 0.000)
K (0.500, 0.000, 0.000)
Ti (0.000, 0.000, 0.500)
Au (0.000, 0.000, 0.000)
S (0.500, 0.500, 0.500)

Largest 10 diffraction maxima, sorted by position, 10 to 90 degrees two-theta:
d 5.909, intensity 100; d 5.196, intensity 33; d 4.178, intensity 40; d 3.902, intensity 59; d 2.955, intensity 57; d 2.643, intensity 29; d 2.568, intensity 24; d 2.378, intensity 22; d 2.355, intensity 32; d 1.951, intensity 33


For Zn3Pd8, a GGA-PBE-relaxed structure gives the theoretical powder diffractogram in this record (Cu Kα).
No peak broadening, texture or thermal motion is included.

Crystal structure
a b c (Å): 5.692 5.692 5.692
angles (deg): 90.15 90.15 90.15
Element x y z (fractional)
Zn (0.000, 0.500, 0.500)
Zn (0.500, 0.000, 0.500)
Zn (0.500, 0.500, 0.000)
Pd (0.101, 0.685, 0.879)
Pd (0.121, 0.899, 0.315)
Pd (0.315, 0.121, 0.899)
Pd (0.365, 0.365, 0.365)
Pd (0.635, 0.635, 0.635)
Pd (0.685, 0.879, 0.101)
Pd (0.879, 0.101, 0.685)
Pd (0.899, 0.315, 0.121)

Largest 10 diffraction maxima, sorted by position, 10 to 90 degrees two-theta:
d 2.547, intensity 100; d 2.325, intensity 43; d 2.319, intensity 34; d 1.801, intensity 9; d 1.717, intensity 35; d 1.713, intensity 8; d 1.523, intensity 20; d 1.271, intensity 8; d 1.214, intensity 9; d 1.117, intensity 8